# Rb9Hg3O2
Calculated powder diffractogram, Cu Ka. Input: a crystal structure in Alexandria, relaxed with PBE.
Neutral-atom scattering factors, no anomalous dispersion.

Crystal structure
a = 14.4061 Å, b = 14.4061 Å, c = 21.4786 Å
α = 90.00°, β = 90.00°, γ = 120.00°
Space group R-3c (No. 167, hexagonal axes)
One atom of each set of equivalent atoms:
Rb 0.0000 0.1445 0.2500
Rb 0.0025 0.1618 0.9034
Hg 0.0000 0.3372 0.7500
O 0.0000 0.0000 0.1613

Largest 10 diffraction maxima, by angle, 2θ from 10° to 80°:
2θ/deg, d [Å], Rel. int., index
17.46, 5.078, 23, 1 1 3
24.72, 3.602, 20, 2 2 0
24.87, 3.580, 27, 0 0 6
27.73, 3.217, 100, 2 2 3
35.34, 2.540, 22, 2 2 6
43.52, 2.079, 20, 6 0 0
45.60, 1.989, 21, 2 2 9
50.78, 1.798, 21, 6 0 6
52.40, 1.746, 16, 4 4 3
70.41, 1.337, 13, 8 2 3